# Li5FeP4O14
Theoretical X-ray diffraction stick pattern, Cu Kα (weighted mean of Kα1 and Kα2). Input: the GGA+U geometry in the Materials Project.
Lines closer than 0.1° are merged.

Atomic structure:
```
Li5FeP4O14
1.0
7.0121 0.0000 0.0000
2.9735 8.1936 0.0000
1.6997 1.1730 8.9637
Li Fe P O
10 2 8 28
Direct
0.0484 0.0189 0.1439
0.2402 0.2296 0.8956
0.2607 0.7545 0.5792
0.3090 0.6797 0.2702
0.4217 0.9865 0.3461
0.5783 0.0135 0.6539
0.6910 0.3203 0.7298
0.7393 0.2455 0.4208
0.7598 0.7704 0.1044
0.9516 0.9811 0.8561
0.1400 0.3600 0.2432
0.8600 0.6400 0.7568
0.1294 0.1232 0.5686
0.1743 0.6094 0.9715
0.2933 0.4006 0.5500
0.4062 0.8412 0.9490
0.5938 0.1588 0.0510
0.7067 0.5994 0.4500
0.8257 0.3906 0.0285
0.8706 0.8768 0.4314
0.0061 0.7332 0.8788
0.0777 0.8766 0.3455
0.1168 0.6146 0.1422
0.1256 0.1705 0.3984
0.1737 0.5514 0.6297
0.1798 0.2668 0.6289
0.2152 0.9908 0.9199
0.2333 0.4363 0.9411
0.2746 0.4335 0.3808
0.3082 0.9650 0.5919
0.3664 0.6762 0.9174
0.4030 0.1631 0.1672
0.4414 0.8212 0.1112
0.4854 0.6807 0.4209
0.5146 0.3193 0.5791
0.5586 0.1788 0.8888
0.5970 0.8369 0.8328
0.6336 0.3238 0.0826
0.6918 0.0350 0.4081
0.7254 0.5665 0.6192
0.7667 0.5637 0.0589
0.7848 0.0092 0.0801
0.8202 0.7332 0.3711
0.8263 0.4486 0.3703
0.8744 0.8295 0.6016
0.8832 0.3854 0.8578
0.9223 0.1234 0.6545
0.9939 0.2668 0.1212
```

Most intense lines, 2θ from 10° to 90°, in order of falling intensity:
two_theta, I_rel, (hkl)
22.5, 1000, -1 1 1
31.2, 390, 1 0 3
14.4, 381, 1 1 0
31.5, 374, 2 2 2
10.9, 315, 0 1 0
34.9, 262, 1 3 -1
32.6, 261, 2 -1 0
31.1, 245, 1 3 1
22.1, 233, 1 -1 1
21.9, 227, 1 2 1
19.8, 227, 0 0 2
34.6, 221, 1 0 -3